[1]
Starting from the GGA+U geometry in the Materials Project, the powder diffractogram of Li4MnCo2O7 was computed for copper Kα.
Intensities are scaled so that the largest is 1000.

Crystal structure
Cell lengths 5.036, 6.592, 7.689 Å; angles 85.93, 76.99, 82.21 degrees
Positions (direct):
Li (0.000, 0.000, 0.000)
Li (0.069, 0.863, 0.350)
Li (0.143, 0.722, 0.699)
Li (0.280, 0.436, 0.419)
Li (0.419, 0.137, 0.140)
Li (0.573, 0.862, 0.849)
Li (0.717, 0.582, 0.559)
Li (0.859, 0.286, 0.277)
Mn (0.637, 0.727, 0.211)
Mn (0.931, 0.140, 0.628)
Co (0.208, 0.585, 0.072)
Co (0.354, 0.288, 0.780)
Co (0.498, 0.003, 0.490)
Co (0.782, 0.435, 0.921)
O (0.029, 0.415, 0.673)
O (0.108, 0.294, 0.012)
O (0.180, 0.142, 0.403)
O (0.239, 0.014, 0.724)
O (0.340, 0.848, 0.103)
O (0.416, 0.734, 0.447)
O (0.462, 0.563, 0.825)
O (0.540, 0.453, 0.169)
O (0.610, 0.267, 0.539)
O (0.687, 0.157, 0.870)
O (0.726, 0.990, 0.252)
O (0.807, 0.886, 0.596)
O (0.884, 0.713, 0.970)
O (0.956, 0.580, 0.295)

Peak list (10 most intense, 2θ from 15° to 90°, by angle)
d = 4.820 Å, 2θ = 18.41°, rel. 1000
d = 2.491 Å, 2θ = 36.06°, rel. 143
d = 2.480 Å, 2θ = 36.23°, rel. 132
d = 2.459 Å, 2θ = 36.53°, rel. 124
d = 2.080 Å, 2θ = 43.50°, rel. 288
d = 2.064 Å, 2θ = 43.86°, rel. 279
d = 2.047 Å, 2θ = 44.25°, rel. 267
d = 1.901 Å, 2θ = 47.86°, rel. 86
d = 1.472 Å, 2θ = 63.17°, rel. 79
d = 1.459 Å, 2θ = 63.79°, rel. 76

---

[2]
Starting from the GGA+U geometry in the Materials Project, the powder diffractogram of Li3MnCoO5 was computed for copper Kα.
Intensities are scaled so that the largest is 1000.

Crystal structure
Cell lengths 2.971, 5.977, 10.306 Å; angles 97.29, 96.94, 93.63 degrees
Positions (direct):
Li (0.000, 0.000, 0.000)
Li (0.014, 0.478, 0.000)
Li (0.204, 0.085, 0.390)
Li (0.413, 0.698, 0.804)
Li (0.602, 0.279, 0.187)
Li (0.803, 0.889, 0.592)
Mn (0.416, 0.182, 0.802)
Mn (0.812, 0.388, 0.590)
Co (0.204, 0.589, 0.390)
Co (0.597, 0.794, 0.185)
O (0.075, 0.016, 0.195)
O (0.136, 0.555, 0.204)
O (0.273, 0.631, 0.585)
O (0.347, 0.149, 0.602)
O (0.495, 0.237, 0.981)
O (0.517, 0.738, 0.013)
O (0.669, 0.820, 0.378)
O (0.735, 0.354, 0.398)
O (0.890, 0.967, 0.795)
O (0.930, 0.409, 0.788)

Peak list (10 most intense, 2θ from 15° to 90°, by angle)
d = 4.828 Å, 2θ = 18.38°, rel. 1000
d = 2.590 Å, 2θ = 34.64°, rel. 173
d = 2.454 Å, 2θ = 36.62°, rel. 229
d = 2.172 Å, 2θ = 41.57°, rel. 350
d = 2.039 Å, 2θ = 44.43°, rel. 279
d = 2.027 Å, 2θ = 44.70°, rel. 265
d = 1.491 Å, 2θ = 62.27°, rel. 82
d = 1.485 Å, 2θ = 62.56°, rel. 78
d = 1.482 Å, 2θ = 62.68°, rel. 84
d = 1.479 Å, 2θ = 62.81°, rel. 83

---

[3]
Starting from the GGA+U geometry in the Materials Project, the powder diffractogram of Li4MnCo2O7 was computed for copper Kα.
Intensities are scaled so that the largest is 1000.

Crystal structure
Cell lengths 9.905, 9.905, 9.783 Å; angles 115.78, 115.78, 17.01 degrees
Positions (direct):
Li (0.000, 0.000, 0.000)
Li (0.066, 0.066, 0.782)
Li (0.208, 0.208, 0.355)
Li (0.368, 0.368, 0.928)
Li (0.501, 0.501, 0.504)
Li (0.632, 0.632, 0.069)
Li (0.786, 0.786, 0.643)
Li (0.933, 0.933, 0.209)
Mn (0.713, 0.713, 0.857)
Mn (0.856, 0.856, 0.426)
Co (0.137, 0.137, 0.554)
Co (0.285, 0.285, 0.141)
Co (0.435, 0.435, 0.736)
Co (0.566, 0.566, 0.262)
O (0.040, 0.040, 0.402)
O (0.107, 0.107, 0.183)
O (0.187, 0.187, 0.962)
O (0.243, 0.243, 0.763)
O (0.324, 0.324, 0.515)
O (0.382, 0.382, 0.321)
O (0.468, 0.468, 0.119)
O (0.531, 0.531, 0.879)
O (0.616, 0.616, 0.687)
O (0.677, 0.677, 0.470)
O (0.758, 0.758, 0.241)
O (0.811, 0.811, 0.041)
O (0.890, 0.890, 0.807)
O (0.953, 0.953, 0.593)

Peak list (10 most intense, 2θ from 15° to 90°, by angle)
d = 4.887 Å, 2θ = 18.15°, rel. 1000
d = 2.498 Å, 2θ = 35.95°, rel. 248
d = 2.473 Å, 2θ = 36.34°, rel. 126
d = 2.092 Å, 2θ = 43.25°, rel. 538
d = 2.057 Å, 2θ = 44.02°, rel. 238
d = 1.908 Å, 2θ = 47.67°, rel. 80
d = 1.621 Å, 2θ = 56.80°, rel. 94
d = 1.478 Å, 2θ = 62.87°, rel. 137
d = 1.465 Å, 2θ = 63.52°, rel. 77
d = 1.456 Å, 2θ = 63.96°, rel. 120